Structure and theoretical PXRD pattern of GaBi3I (a DFT-relaxed cell (GGA-PBE, Alexandria); Cu Kα X-rays).
No peak broadening, texture or thermal motion is included.

Top 10 peaks for 15° ≤ 2θ ≤ 90°, in order of rising 2θ:
2θ 17.32, I = 41
2θ 24.13, I = 25
2θ 25.03, I = 64
2θ 25.94, I = 27
2θ 27.96, I = 100
2θ 28.09, I = 33
2θ 30.37, I = 29
2θ 33.03, I = 29
2θ 37.31, I = 24
2θ 38.45, I = 51

Structural model:
Cell lengths 7.079, 7.376, 7.847 Å; angles 90.00, 114.93, 90.00 degrees
Space group P2_1 (No. 4)
Unique sites:
Ga1 0.186 0.000 0.038 (multiplicity 2)
Bi1 0.013 0.279 0.776 (multiplicity 2)
Bi2 0.332 0.486 0.284 (multiplicity 2)
Bi3 0.435 0.348 0.686 (multiplicity 2)
I1 0.221 0.770 0.767 (multiplicity 2)